# Mg2Ga5Cu6
Simulated powder diffractogram, a wavelength of 1.5418 Å. Input: a DFT-relaxed cell (GGA-PBE, Alexandria).

Cell and atoms:
```
39
Lattice="8.3093 0.0000 0.0000 0.0000 8.3093 0.0000 0.0000 0.0000 8.3093" Properties=species:S:1:pos:R:3 pbc="T T T"
Mg 0.0000 2.6506 4.1546
Mg 0.0000 5.6587 4.1546
Mg 2.6506 4.1546 0.0000
Mg 4.1546 0.0000 2.6506
Mg 4.1546 0.0000 5.6587
Mg 5.6587 4.1546 0.0000
Ga 0.0000 4.1546 1.3569
Ga 0.0000 4.1546 6.9524
Ga 1.3569 0.0000 4.1546
Ga 1.8108 1.8108 1.8108
Ga 1.8108 1.8108 6.4985
Ga 1.8108 6.4985 1.8108
Ga 1.8108 6.4985 6.4985
Ga 4.1546 1.3569 0.0000
Ga 4.1546 4.1546 4.1546
Ga 4.1546 6.9524 0.0000
Ga 6.4985 1.8108 1.8108
Ga 6.4985 1.8108 6.4985
Ga 6.4985 6.4985 1.8108
Ga 6.4985 6.4985 6.4985
Ga 6.9524 0.0000 4.1546
Cu 0.0000 0.0000 1.8750
Cu 0.0000 0.0000 6.4343
Cu 0.0000 1.8750 0.0000
Cu 0.0000 6.4343 0.0000
Cu 1.8750 0.0000 0.0000
Cu 2.0086 4.1546 2.8044
Cu 2.0086 4.1546 5.5049
Cu 2.8044 2.0086 4.1546
Cu 2.8044 6.3007 4.1546
Cu 4.1546 2.8044 2.0086
Cu 4.1546 2.8044 6.3007
Cu 4.1546 5.5049 2.0086
Cu 4.1546 5.5049 6.3007
Cu 5.5049 2.0086 4.1546
Cu 5.5049 6.3007 4.1546
Cu 6.3007 4.1546 2.8044
Cu 6.3007 4.1546 5.5049
Cu 6.4343 0.0000 0.0000
```

Principal peaks in the range 5° ≤ 2θ ≤ 70°, low angle first:
d/Å, 2θ (°), I (rel.)
5.876, 15.1, 21
3.716, 23.9, 20
2.770, 32.3, 8
2.399, 37.5, 19
2.305, 39.1, 14
2.221, 40.6, 52
2.077, 43.6, 44
2.015, 45.0, 100
1.959, 46.4, 15
1.858, 49.0, 14
1.385, 67.7, 8
1.348, 69.8, 17

# CsVC6
Simulated powder diffractogram, a wavelength of 1.5418 Å. Input: a DFT-relaxed cell (GGA-PBE, Alexandria).

Cell and atoms:
```
8
Lattice="5.2992 0.0000 0.0000 0.0000 5.2992 0.0000 0.0000 0.0000 5.2992" Properties=species:S:1:pos:R:3 pbc="T T T"
Cs 0.0000 0.0000 0.0000
V 2.6496 2.6496 2.6496
C 0.6337 2.6496 2.6496
C 2.6496 0.6337 2.6496
C 2.6496 2.6496 0.6337
C 2.6496 2.6496 4.6655
C 2.6496 4.6655 2.6496
C 4.6655 2.6496 2.6496
```

Principal peaks in the range 5° ≤ 2θ ≤ 70°, low angle first:
d/Å, 2θ (°), I (rel.)
5.299, 16.7, 7
3.747, 23.7, 100
3.059, 29.2, 23
2.650, 33.8, 35
2.370, 38.0, 11
2.163, 41.8, 35
1.874, 48.6, 19
1.766, 51.8, 7
1.676, 54.8, 25
1.598, 57.7, 5
1.530, 60.5, 5
1.416, 66.0, 24

# PuH9Rh2
Simulated powder diffractogram, a wavelength of 1.5418 Å. Input: a DFT-relaxed cell (GGA-PBE, Alexandria).

Cell and atoms:
```
24
Lattice="-4.2015 4.2015 2.5505 4.2015 -4.2015 2.5505 4.2015 4.2015 -2.5505" Properties=species:S:1:pos:R:3 pbc="T T T"
Pu 4.2015 2.1007 0.6376
Pu 0.0000 2.1007 1.9128
H 4.2015 -2.1007 1.9128
H 2.1130 1.1544 0.1494
H 6.2900 1.1544 0.1494
H 3.2552 0.0122 1.1258
H 5.1478 0.0122 1.1258
H 3.2552 4.2137 -1.1258
H 0.9463 0.0122 1.4247
H 2.1130 3.0471 0.1494
H 2.0885 -1.1544 2.6999
H 2.1130 5.3559 -0.1494
H 2.0885 1.1544 2.4010
H 3.2552 4.1893 1.1258
H 0.9463 -0.0122 3.6762
H -0.9463 4.1893 1.4247
H 0.9463 4.1893 1.4247
H -2.0885 3.0471 2.4010
H 2.0885 3.0471 2.4010
H 0.0000 6.3022 0.6376
Rh 0.0000 0.0000 0.0000
Rh 2.1007 2.1007 -1.2752
Rh 2.1007 -2.1007 1.2752
Rh 0.0000 4.2015 0.0000
```

Principal peaks in the range 5° ≤ 2θ ≤ 70°, low angle first:
d/Å, 2θ (°), I (rel.)
4.201, 21.1, 40
3.026, 29.5, 100
2.344, 38.4, 19
2.180, 41.4, 12
2.120, 42.7, 38
2.101, 43.1, 25
1.879, 48.4, 10
1.840, 49.5, 19
1.667, 55.1, 9
1.513, 61.3, 8
1.492, 62.2, 12
1.485, 62.5, 8

# PmThSeS
Simulated powder diffractogram, a wavelength of 1.5418 Å. Input: a DFT-relaxed cell (GGA-PBE, Alexandria).

Cell and atoms:
```
12
Lattice="3.9719 0.0000 0.0000 -1.9859 3.4397 0.0000 0.0000 0.0000 22.0255" Properties=species:S:1:pos:R:3 pbc="T T T"
Pm 0.0000 0.0000 0.0000
Pm 0.0000 2.2932 14.6837
Pm 1.9859 1.1466 7.3418
Th 0.0000 0.0000 18.0416
Th 0.0000 2.2932 10.6997
Th 1.9859 1.1466 3.3579
Se 0.0000 0.0000 12.7345
Se 0.0000 2.2932 5.3926
Se 1.9859 1.1466 20.0763
S 0.0000 0.0000 8.9876
S 0.0000 2.2932 1.6457
S 1.9859 1.1466 16.3294
```

Principal peaks in the range 5° ≤ 2θ ≤ 70°, low angle first:
d/Å, 2θ (°), I (rel.)
3.671, 24.2, 23
3.399, 26.2, 66
3.283, 27.2, 19
2.917, 30.6, 49
2.711, 33.0, 100
2.322, 38.8, 34
1.986, 45.7, 50
1.855, 49.1, 17
1.747, 52.4, 18
1.730, 52.9, 13
1.602, 57.5, 21
1.348, 69.8, 23

# Mg2Zr3Cd4
Simulated powder diffractogram, a wavelength of 1.5418 Å. Input: a DFT-relaxed cell (GGA-PBE, Alexandria).

Cell and atoms:
```
9
Lattice="4.3001 0.0000 0.0000 -2.1482 6.5068 0.0000 -0.0149 -1.8781 7.0167" Properties=species:S:1:pos:R:3 pbc="T T T"
Mg -0.0084 2.3033 2.3120
Mg 2.1455 2.3255 4.7047
Zr 0.0000 0.0000 0.0000
Zr -0.0046 4.6528 4.7057
Zr 2.1417 -0.0241 2.3110
Cd -0.0072 0.2967 4.6656
Cd -0.0128 2.4498 6.9760
Cd 2.1499 2.1790 0.0408
Cd 2.1443 4.3321 2.3512
```

Principal peaks in the range 5° ≤ 2θ ≤ 70°, low angle first:
d/Å, 2θ (°), I (rel.)
5.431, 16.3, 15
3.655, 24.4, 11
2.591, 34.6, 100
2.523, 35.6, 93
2.339, 38.5, 38
2.168, 41.7, 33
2.150, 42.0, 29
1.624, 56.7, 11
1.585, 58.2, 11
1.526, 60.7, 18
1.405, 66.5, 14
1.372, 68.3, 13

# LaSm8Th4
Simulated powder diffractogram, a wavelength of 1.5418 Å. Input: a DFT-relaxed cell (GGA-PBE, Alexandria).

Cell and atoms:
```
13
Lattice="5.6357 3.2538 4.4825 -5.6357 3.2538 4.4825 0.0000 -6.5075 4.4825" Properties=species:S:1:pos:R:3 pbc="T T T"
La 0.0000 0.0000 0.0000
Sm -2.7138 -1.5668 7.7206
Sm 0.0000 0.0000 3.5235
Sm 0.0000 -3.1336 5.7269
Sm -2.7138 1.5668 5.7269
Sm 2.7138 -1.5668 7.7206
Sm 0.0000 3.1336 7.7206
Sm 0.0000 0.0000 9.9240
Sm 2.7138 1.5668 5.7269
Th -5.6357 0.0000 6.7238
Th -2.8178 1.6269 2.2413
Th 2.8178 1.6269 2.2413
Th 0.0000 0.0000 6.7238
```

Principal peaks in the range 5° ≤ 2θ ≤ 70°, low angle first:
d/Å, 2θ (°), I (rel.)
4.588, 19.3, 36
4.483, 19.8, 15
2.818, 31.8, 100
2.769, 32.3, 93
2.401, 37.5, 7
2.386, 37.7, 18
1.975, 46.0, 35
1.627, 56.6, 19
1.617, 56.9, 37
1.589, 58.0, 16
1.409, 66.3, 12
1.384, 67.7, 10

# Fe2HPb
Simulated powder diffractogram, a wavelength of 1.5418 Å. Input: a DFT-relaxed cell (GGA-PBE, Alexandria).

Cell and atoms:
```
16
Lattice="5.1456 0.0000 0.0000 0.0000 5.1456 0.0000 0.0000 0.0000 8.2798" Properties=species:S:1:pos:R:3 pbc="T T T"
Fe 0.0000 0.0000 0.0000
Fe 0.0000 2.5728 0.0000
Fe 1.2864 1.2864 6.2098
Fe 1.2864 3.8592 2.0699
Fe 2.5728 0.0000 4.1399
Fe 2.5728 2.5728 4.1399
Fe 3.8592 1.2864 6.2098
Fe 3.8592 3.8592 2.0699
H 0.0000 1.2864 7.2448
H 0.0000 3.8592 1.0350
H 2.5728 1.2864 5.1749
H 2.5728 3.8592 3.1049
Pb 0.0000 1.2864 3.1049
Pb 0.0000 3.8592 5.1749
Pb 2.5728 1.2864 1.0350
Pb 2.5728 3.8592 7.2448
```

Principal peaks in the range 5° ≤ 2θ ≤ 70°, low angle first:
d/Å, 2θ (°), I (rel.)
4.370, 20.3, 46
2.733, 32.8, 93
2.573, 34.9, 39
2.432, 37.0, 65
2.217, 40.7, 100
2.185, 41.3, 16
1.613, 57.1, 20
1.576, 58.6, 17
1.514, 61.2, 32
1.457, 63.9, 13
1.406, 66.5, 23
1.366, 68.7, 26

# Pm2Zn5AgRh2
Simulated powder diffractogram, a wavelength of 1.5418 Å. Input: a DFT-relaxed cell (GGA-PBE, Alexandria).

Cell and atoms:
```
20
Lattice="9.7397 0.0000 0.0000 0.0000 9.7397 0.0000 0.0000 0.0000 3.9412" Properties=species:S:1:pos:R:3 pbc="T T T"
Pm 1.7591 3.1108 0.0000
Pm 3.1108 7.9806 0.0000
Pm 6.6290 1.7591 0.0000
Pm 7.9806 6.6290 0.0000
Zn 0.0000 4.8699 1.9706
Zn 0.5414 7.7659 1.9706
Zn 1.9738 0.5414 1.9706
Zn 2.8961 5.4112 1.9706
Zn 4.3285 2.8961 1.9706
Zn 4.8699 0.0000 1.9706
Zn 5.4112 6.8437 1.9706
Zn 6.8437 4.3285 1.9706
Zn 7.7659 9.1984 1.9706
Zn 9.1984 1.9738 1.9706
Ag 0.0000 0.0000 0.0000
Ag 4.8699 4.8699 0.0000
Rh 1.1646 6.0345 0.0000
Rh 3.7053 1.1646 0.0000
Rh 6.0345 8.5751 0.0000
Rh 8.5751 3.7053 0.0000
```

Principal peaks in the range 5° ≤ 2θ ≤ 70°, low angle first:
d/Å, 2θ (°), I (rel.)
3.941, 22.6, 13
3.080, 29.0, 13
2.922, 30.6, 10
2.593, 34.6, 31
2.427, 37.0, 100
2.362, 38.1, 42
2.296, 39.2, 17
2.228, 40.5, 40
2.071, 43.7, 12
1.971, 46.1, 27
1.513, 61.3, 20
1.483, 62.6, 11

# Ac6Tl3Ni2
Simulated powder diffractogram, a wavelength of 1.5418 Å. Input: a DFT-relaxed cell (GGA-PBE, Alexandria).

Cell and atoms:
```
11
Lattice="-2.7826 2.7826 12.4462 2.7826 -2.7826 12.4462 2.7826 2.7826 -12.4462" Properties=species:S:1:pos:R:3 pbc="T T T"
Ac 2.7826 0.0000 2.0032
Ac 0.0000 0.0000 4.9908
Ac 2.7826 0.0000 10.4430
Ac 0.0000 2.7826 2.0032
Ac 0.0000 0.0000 19.9016
Ac 0.0000 2.7826 10.4430
Tl 0.0000 0.0000 8.2724
Tl 0.0000 0.0000 12.4462
Tl 0.0000 0.0000 16.6201
Ni 0.0000 0.0000 1.2263
Ni 0.0000 0.0000 23.6662
```

Principal peaks in the range 5° ≤ 2θ ≤ 70°, low angle first:
d/Å, 2θ (°), I (rel.)
12.446, 7.1, 13
3.752, 23.7, 42
3.326, 26.8, 20
3.112, 28.7, 13
2.997, 29.8, 31
2.855, 31.3, 100
2.783, 32.2, 80
2.074, 43.6, 21
2.039, 44.4, 21
1.968, 46.1, 30
1.663, 55.2, 17
1.620, 56.8, 41

# TcPbCl3
Simulated powder diffractogram, a wavelength of 1.5418 Å. Input: a DFT-relaxed cell (GGA-PBE, Alexandria).

Cell and atoms:
```
5
Lattice="4.9152 0.0000 0.0000 0.0000 4.9152 0.0000 0.0000 0.0000 4.9152" Properties=species:S:1:pos:R:3 pbc="T T T"
Tc 0.0000 0.0000 0.0000
Pb 2.4576 2.4576 2.4576
Cl 0.0000 0.0000 2.4576
Cl 0.0000 2.4576 0.0000
Cl 2.4576 0.0000 0.0000
```

Principal peaks in the range 5° ≤ 2θ ≤ 70°, low angle first:
d/Å, 2θ (°), I (rel.)
4.915, 18.0, 6
3.476, 25.6, 100
2.838, 31.5, 25
2.458, 36.6, 47
2.198, 41.1, 4
2.007, 45.2, 46
1.738, 52.7, 32
1.638, 56.1, 2
1.554, 59.5, 21
1.482, 62.7, 10
1.419, 65.8, 11
1.363, 68.9, 1

# Tm3Zn11
Simulated powder diffractogram, a wavelength of 1.5418 Å. Input: a DFT-relaxed cell (GGA-PBE, Alexandria).

Cell and atoms:
```
14
Lattice="-2.1935 4.3976 6.3705 2.1935 -4.3976 6.3705 2.1935 4.3976 -6.3705" Properties=species:S:1:pos:R:3 pbc="T T T"
Tm 0.0000 0.0000 0.0000
Tm 0.0000 0.0000 3.7032
Tm 0.0000 0.0000 9.0377
Zn 2.1935 -1.2308 1.9861
Zn 2.1935 -1.9136 4.5856
Zn 2.1935 1.2308 1.9861
Zn 2.1935 2.8385 0.0000
Zn 0.0000 2.4841 1.7849
Zn 0.0000 4.3976 0.0000
Zn 2.1935 1.9136 4.5856
Zn 0.0000 1.5591 6.3705
Zn 0.0000 3.1669 4.3843
Zn 0.0000 6.3112 1.7849
Zn 0.0000 5.6284 4.3843
```

Principal peaks in the range 5° ≤ 2θ ≤ 70°, low angle first:
d/Å, 2θ (°), I (rel.)
3.926, 22.6, 19
3.051, 29.3, 20
2.580, 34.8, 37
2.507, 35.8, 100
2.473, 36.3, 48
2.438, 36.9, 42
2.413, 37.3, 27
2.277, 39.6, 30
2.194, 41.2, 52
1.943, 46.8, 18
1.671, 54.9, 20
1.624, 56.7, 22

# OsPdPb2O6
Simulated powder diffractogram, a wavelength of 1.5418 Å. Input: a DFT-relaxed cell (GGA-PBE, Alexandria).

Cell and atoms:
```
10
Lattice="5.7226 0.0000 0.0000 0.0000 5.7226 0.0000 0.0000 0.0000 4.4522" Properties=species:S:1:pos:R:3 pbc="T T T"
Os 0.0000 0.0000 0.0000
Pd 2.8613 2.8613 0.0848
Pb 0.0000 2.8613 1.9883
Pb 2.8613 0.0000 1.9883
O 0.0000 0.0000 2.6550
O 1.3029 1.3029 0.5036
O 1.3029 4.4197 0.5036
O 2.8613 2.8613 2.4098
O 4.4197 1.3029 0.5036
O 4.4197 4.4197 0.5036
```

Principal peaks in the range 5° ≤ 2θ ≤ 70°, low angle first:
d/Å, 2θ (°), I (rel.)
4.452, 19.9, 6
2.994, 29.8, 100
2.861, 31.3, 45
2.407, 37.4, 5
2.226, 40.5, 11
2.023, 44.8, 24
1.950, 46.6, 6
1.757, 52.1, 22
1.676, 54.8, 38
1.497, 62.0, 13
1.431, 65.2, 7
1.393, 67.2, 8